Structure and simulated powder diffractogram of Ba2Bi3 (a structure optimized by DFT (PBE); Cu Kα X-rays).

Cell and atoms:
```
Ba2Bi3
1.0
4.9730 0.0000 0.0000
0.0000 7.8331 0.0000
0.0000 0.0000 10.3136
Ba Bi
4 6
Direct
0.0000 0.0000 0.2198
0.0000 0.0000 0.7802
0.5000 0.5000 0.2802
0.5000 0.5000 0.7198
0.0000 0.2917 0.5000
0.0000 0.5000 0.0000
0.0000 0.7083 0.5000
0.5000 0.0000 0.5000
0.5000 0.2083 0.0000
0.5000 0.7917 0.0000
```

Principal peaks in the range 2θ = 10–90°, sorted by position:
d (Å)  I (rel.)
5.157  32
3.256  100
3.119  23
2.948  93
2.578  28
2.487  31
2.293  23
1.790  20
1.713  31
1.435  21

Structure and simulated powder diffractogram of GdTa3O9 (a structure optimized by DFT (PBE); Cu Kα X-rays).

Cell and atoms:
```
GdTa3O9
1.0
5.3608 0.0000 0.0000
0.0000 7.5669 0.0000
-0.3611 0.0000 8.3096
Gd Ta O
2 6 18
Direct
0.0364 0.2500 0.4354
0.9636 0.7500 0.5646
0.0000 0.0000 0.0000
0.0000 0.5000 0.0000
0.4706 0.0063 0.6965
0.4706 0.4937 0.6965
0.5294 0.5063 0.3035
0.5294 0.9937 0.3035
0.0881 0.2500 0.9797
0.1513 0.5617 0.7861
0.1513 0.9383 0.7861
0.2605 0.5403 0.4677
0.2605 0.9597 0.4677
0.3220 0.5491 0.1218
0.3220 0.9509 0.1218
0.3446 0.2500 0.6581
0.4283 0.2500 0.3147
0.5717 0.7500 0.6853
0.6554 0.7500 0.3419
0.6780 0.0491 0.8782
0.6780 0.4509 0.8782
0.7395 0.0403 0.5323
0.7395 0.4597 0.5323
0.8487 0.0617 0.2139
0.8487 0.4383 0.2139
0.9119 0.7500 0.0203
```

Principal peaks in the range 2θ = 10–90°, sorted by position:
d (Å)  I (rel.)
3.783  65
3.354  100
3.216  75
3.090  45
2.920  45
2.873  84
2.678  56
2.510  37
2.235  36
1.687  36

Structure and simulated powder diffractogram of PmYRh2 (a structure optimized by DFT (PBE); Cu Kα X-rays).

Cell and atoms:
```
PmYRh2
1.0
6.9710 0.0000 0.0000
0.0000 6.9710 0.0000
0.0000 0.0000 6.9710
Pm Y Rh
4 4 8
Direct
0.0000 0.0000 0.0000
0.0000 0.5000 0.5000
0.5000 0.0000 0.5000
0.5000 0.5000 0.0000
0.0000 0.0000 0.5000
0.0000 0.5000 0.0000
0.5000 0.0000 0.0000
0.5000 0.5000 0.5000
0.2500 0.2500 0.2500
0.2500 0.2500 0.7500
0.2500 0.7500 0.2500
0.2500 0.7500 0.7500
0.7500 0.2500 0.2500
0.7500 0.2500 0.7500
0.7500 0.7500 0.2500
0.7500 0.7500 0.7500
```

Principal peaks in the range 2θ = 10–90°, sorted by position:
d (Å)  I (rel.)
4.025  4
2.465  100
2.102  2
1.743  17
1.599  1
1.423  35
1.342  1
1.232  11
1.178  1
1.102  16

Structure and simulated powder diffractogram of Na3TlBr6 (a structure optimized by DFT (PBE); Cu Kα X-rays).

Cell and atoms:
```
Na3TlBr6
1.0
0.0000 5.6258 5.6258
5.6258 0.0000 5.6258
5.6258 5.6258 0.0000
Na Tl Br
3 1 6
Direct
0.0000 0.0000 0.0000
0.2500 0.2500 0.2500
0.7500 0.7500 0.7500
0.5000 0.5000 0.5000
0.2547 0.2547 0.7453
0.2547 0.7453 0.2547
0.2547 0.7453 0.7453
0.7453 0.2547 0.2547
0.7453 0.2547 0.7453
0.7453 0.7453 0.2547
```

Principal peaks in the range 2θ = 10–90°, sorted by position:
d (Å)  I (rel.)
6.496  55
5.626  100
3.392  29
3.248  32
2.813  93
2.516  53
1.989  67
1.875  28
1.624  23
1.258  29

Structure and simulated powder diffractogram of CeSe2 (a structure optimized by DFT (PBE); Cu Kα X-rays).

Cell and atoms:
```
CeSe2
1.0
8.1143 0.0000 0.0000
-4.0571 7.0272 0.0000
0.0000 0.0000 8.4369
Ce Se
3 6
Direct
0.0000 0.4551 0.1667
0.4551 0.0000 0.8333
0.5449 0.5449 0.5000
0.1073 0.7131 0.9263
0.2869 0.3942 0.2597
0.3942 0.2869 0.7403
0.6058 0.8927 0.5930
0.7131 0.1073 0.0737
0.8927 0.6058 0.4070
```

Principal peaks in the range 2θ = 10–90°, sorted by position:
d (Å)  I (rel.)
7.027  17
5.400  100
4.057  20
3.617  21
2.924  14
2.700  14
2.533  26
2.257  20
2.248  18
2.196  14